Diffraction record for Ac2TmVO6. The XRD peak list is simulated, not measured: it uses the GGA+U geometry in Alexandria and Cu Kα (λ = 1.5418 Å).
Neutral-atom scattering factors, no anomalous dispersion.

Structural model:
Cell lengths 5.837, 5.924, 10.163 Å; angles 90.00, 124.71, 90.00 degrees
Element x y z (fractional)
Ac: 0.240 0.041 0.249
Ac: 0.240 0.459 0.749
Ac: 0.760 0.541 0.251
Ac: 0.760 0.959 0.751
Tm: 0.500 0.000 0.000
Tm: 0.500 0.500 0.500
V: 0.000 0.000 0.500
V: 0.000 0.500 0.000
O: 0.152 0.217 0.953
O: 0.152 0.283 0.453
O: 0.237 0.701 0.955
O: 0.237 0.799 0.455
O: 0.329 0.025 0.743
O: 0.329 0.475 0.243
O: 0.671 0.525 0.757
O: 0.671 0.975 0.257
O: 0.763 0.201 0.545
O: 0.763 0.299 0.045
O: 0.848 0.717 0.547
O: 0.848 0.783 0.047

Top 10 peaks for 10 to 80 degrees two-theta, in order of rising 2θ:
(0 0 2), 21.33°, rel. 22; (1 1 1), 30.24°, rel. 100; (1 1 -3), 30.40°, rel. 68; (2 0 -2), 30.63°, rel. 34; (0 0 4), 43.32°, rel. 18; (2 2 -2), 43.53°, rel. 30; (0 2 4), 53.70°, rel. 34; (3 1 -1), 54.15°, rel. 23; (3 1 -5), 54.39°, rel. 16; (1 1 -7), 71.60°, rel. 11